1.
Theoretical powder X-ray diffraction pattern
Compound: ZnS
Radiation: Cu Kα (λ = 1.5418 Å)
Structure: a structure optimized by DFT (PBE)
Lines closer than 0.1° are merged.

Atomic structure:
abc: 3.853 3.853 12.608
angles: 90.00 90.00 120.00
Positions (direct):
Zn 0.000 0.000 0.000
Zn 0.000 0.000 0.500
Zn 0.333 0.667 0.250
Zn 0.667 0.333 0.750
S 0.000 0.000 0.187
S 0.000 0.000 0.687
S 0.333 0.667 0.438
S 0.667 0.333 0.938

Top 8 peaks for 2θ = 5–70°, sorted by position:
- 2θ 26.72, intensity 25
- 2θ 27.66, intensity 100
- 2θ 28.31, intensity 64
- 2θ 30.31, intensity 83
- 2θ 45.07, intensity 33
- 2θ 47.18, intensity 78
- 2θ 51.39, intensity 59
- 2θ 55.94, intensity 52

---

2.
Theoretical powder X-ray diffraction pattern
Compound: ZnS
Radiation: Cu Kα (λ = 1.5418 Å)
Structure: a structure optimized by DFT (PBE)
Lines closer than 0.1° are merged.

Atomic structure:
abc: 37.838 37.838 37.838
angles: 5.85 5.85 5.85
Positions (direct):
Zn 0.000 0.000 0.000
Zn 0.056 0.056 0.056
Zn 0.111 0.111 0.111
Zn 0.194 0.194 0.194
Zn 0.278 0.278 0.278
Zn 0.361 0.361 0.361
Zn 0.472 0.472 0.472
Zn 0.583 0.583 0.583
Zn 0.639 0.639 0.639
Zn 0.750 0.750 0.750
Zn 0.833 0.833 0.833
Zn 0.889 0.889 0.889
S 0.035 0.035 0.035
S 0.090 0.090 0.090
S 0.174 0.174 0.174
S 0.257 0.257 0.257
S 0.340 0.340 0.340
S 0.451 0.451 0.451
S 0.563 0.563 0.563
S 0.618 0.618 0.618
S 0.729 0.729 0.729
S 0.813 0.813 0.813
S 0.868 0.868 0.868
S 0.979 0.979 0.979

Top 8 peaks for 2θ = 5–70°, sorted by position:
- 2θ 27.42, intensity 24
- 2θ 28.07, intensity 60
- 2θ 28.35, intensity 82
- 2θ 28.61, intensity 33
- 2θ 29.91, intensity 35
- 2θ 30.67, intensity 24
- 2θ 47.11, intensity 100
- 2θ 55.90, intensity 67